Computed powder XRD pattern
Compound: NdSmNO
Radiation: Cu Kα
Structure: DFT lattice parameters and positions (PBE)
Peak positions follow from Bragg's law for the DFT cell and can differ from measured ones.

Atomic structure:
a b c (Å): 3.5745 3.5745 5.0634
angles (deg): 90.00 90.00 90.00
Space group P4/mmm (No. 123)
One atom of each set of equivalent atoms:
Nd: 0.0000 0.0000 0.0000
Sm: 0.5000 0.5000 0.5000
N: 0.0000 0.0000 0.5000
O: 0.5000 0.5000 0.0000

Top 10 peaks for 2θ = 10–90°, in order of rising 2θ:
2theta, d (Å), I (rel.)
30.62, 2.920, 100
35.50, 2.529, 77
51.08, 1.788, 53
60.73, 1.525, 45
63.74, 1.460, 18
75.04, 1.266, 3
75.18, 1.264, 5
83.27, 1.160, 19
85.86, 1.132, 8
85.99, 1.131, 16


Computed powder XRD pattern
Compound: Cd5Cu3
Radiation: Cu Kα
Structure: DFT lattice parameters and positions (PBE)
Peak positions follow from Bragg's law for the DFT cell and can differ from measured ones.

Atomic structure:
a b c (Å): 11.1313 10.4822 5.3885
angles (deg): 90.00 112.57 90.00
Space group C2/c (No. 15)
One atom of each set of equivalent atoms:
Cd: 0.0000 0.0266 0.2500
Cd: 0.0924 0.2849 0.5473
Cd: 0.2255 0.4366 0.2133
Cu: 0.0000 0.4903 0.7500
Cu: 0.1586 0.1866 0.0779

Top 10 peaks for 2θ = 10–90°, in order of rising 2θ:
2theta, d (Å), I (rel.)
33.45, 2.678, 15
34.10, 2.629, 35
37.72, 2.385, 13
38.15, 2.359, 17
38.84, 2.319, 13
39.04, 2.307, 53
39.65, 2.273, 100
40.12, 2.248, 56
41.48, 2.177, 15
61.20, 1.515, 16


Computed powder XRD pattern
Compound: RbMgBiO4
Radiation: Cu Kα
Structure: DFT lattice parameters and positions (PBE)
Peak positions follow from Bragg's law for the DFT cell and can differ from measured ones.

Atomic structure:
a b c (Å): 5.8821 5.8230 7.4778
angles (deg): 90.00 103.00 90.00
Space group P2_1/m (No. 11)
One atom of each set of equivalent atoms:
Rb: 0.1583 0.2500 0.0964
Mg: 0.4007 0.2500 0.6624
Bi: 0.1591 0.7500 0.4623
O: 0.1399 0.0194 0.6655
O: 0.2648 0.7500 0.2093
O: 0.4821 0.2500 0.4193

Top 10 peaks for 2θ = 10–90°, in order of rising 2θ:
2theta, d (Å), I (rel.)
12.15, 7.286, 100
15.46, 5.731, 39
21.77, 4.083, 29
23.19, 3.835, 65
26.68, 3.342, 56
28.91, 3.088, 30
30.14, 2.965, 38
30.71, 2.911, 41
34.57, 2.595, 40
39.45, 2.284, 32